(1)
For FeSi18Ge13, DFT lattice parameters and positions (GGA-PBE) gives the theoretical powder X-ray diffraction pattern in this record (Cu Kα X-rays).

Cell and atoms:
a = 5.557 Å, b = 3.927 Å, c = 31.330 Å
α = 90.00°, β = 90.04°, γ = 90.00°
Space group Pm (No. 6)
Unique sites:
Fe  0.000  0.000  0.000 (multiplicity 1)
Si  0.008  0.000  0.502 (multiplicity 1)
Si  0.019  0.000  0.374 (multiplicity 1)
Si  0.020  0.000  0.623 (multiplicity 1)
Si  0.021  0.000  0.119 (multiplicity 1)
Si  0.022  0.000  0.877 (multiplicity 1)
Si  0.248  0.000  0.943 (multiplicity 1)
Si  0.257  0.000  0.686 (multiplicity 1)
Si  0.262  0.000  0.055 (multiplicity 1)
Si  0.267  0.000  0.562 (multiplicity 1)
Si  0.268  0.000  0.313 (multiplicity 1)
Si  0.268  0.000  0.815 (multiplicity 1)
Si  0.508  0.500  0.312 (multiplicity 1)
Si  0.509  0.500  0.561 (multiplicity 1)
Si  0.509  0.500  0.814 (multiplicity 1)
Si  0.510  0.500  0.059 (multiplicity 1)
Si  0.756  0.500  0.251 (multiplicity 1)
Si  0.768  0.500  0.501 (multiplicity 1)
Si  0.789  0.500  0.001 (multiplicity 1)
Ge  0.008  0.000  0.251 (multiplicity 1)
Ge  0.021  0.000  0.751 (multiplicity 1)
Ge  0.255  0.000  0.184 (multiplicity 1)
Ge  0.256  0.000  0.438 (multiplicity 1)
Ge  0.508  0.500  0.686 (multiplicity 1)
Ge  0.510  0.500  0.941 (multiplicity 1)
Ge  0.520  0.500  0.438 (multiplicity 1)
Ge  0.521  0.500  0.186 (multiplicity 1)
Ge  0.756  0.500  0.751 (multiplicity 1)
Ge  0.767  0.500  0.121 (multiplicity 1)
Ge  0.768  0.500  0.373 (multiplicity 1)
Ge  0.768  0.500  0.622 (multiplicity 1)
Ge  0.768  0.500  0.876 (multiplicity 1)

Top 8 peaks for 2θ = 10–80°, sorted by position:
2theta  d (Å)  intensity  (hkl)
11.30  7.832  9  0 0 4
27.84  3.204  100  1 0 -8
46.25  1.963  59  0 2 0
46.37  1.958  11  0 0 16
54.83  1.674  28  1 2 -8
54.94  1.671  14  1 1 16
67.56  1.386  7  0 2 16
74.48  1.274  11  3 2 8

=====

(2)
For Sm2Dy2BI3Br2, DFT lattice parameters and positions (GGA-PBE) gives the theoretical powder X-ray diffraction pattern in this record (Cu Kα X-rays).

Cell and atoms:
a = 18.827 Å, b = 4.041 Å, c = 8.583 Å
α = 90.00°, β = 102.29°, γ = 90.00°
Space group C2/m (No. 12)
Unique sites:
Sm  0.140  0.000  0.074 (multiplicity 4)
Dy  0.001  0.500  0.804 (multiplicity 4)
B  0.000  0.000  0.000 (multiplicity 2)
I  0.000  0.000  0.500 (multiplicity 2)
I  0.171  0.500  0.813 (multiplicity 4)
Br  0.156  0.500  0.329 (multiplicity 4)

Top 8 peaks for 2θ = 10–80°, sorted by position:
2theta  d (Å)  intensity  (hkl)
10.55  8.386  37  0 0 1
27.31  3.266  19  3 1 -1
29.13  3.066  48  6 0 0
30.38  2.942  100  1 1 -2
32.95  2.718  33  5 1 -1
42.35  2.134  31  5 1 2
42.83  2.112  27  7 1 -2
44.86  2.021  20  0 2 0